Entry 1:
Calculated powder XRD pattern
Compound: MoF5
Radiation: Cu Kα, 1.54184 Å
Structure: a structure optimized by DFT (GGA+U)
Lines closer than 0.1° are merged.

Cell and atoms:
Cell lengths 5.601, 9.991, 7.930 Å; angles 90.00, 110.66, 90.00 degrees
Positions (direct):
Mo 0.119 0.249 0.403
Mo 0.119 0.251 0.903
Mo 0.881 0.749 0.097
Mo 0.881 0.751 0.597
F 0.117 0.194 0.653
F 0.117 0.306 0.153
F 0.118 0.612 0.202
F 0.118 0.888 0.702
F 0.164 0.638 0.628
F 0.164 0.862 0.128
F 0.358 0.118 0.012
F 0.358 0.382 0.512
F 0.398 0.133 0.432
F 0.398 0.367 0.932
F 0.602 0.633 0.068
F 0.602 0.867 0.568
F 0.642 0.618 0.488
F 0.642 0.882 0.988
F 0.836 0.138 0.872
F 0.836 0.362 0.372
F 0.882 0.112 0.298
F 0.882 0.388 0.798
F 0.883 0.694 0.847
F 0.883 0.806 0.347

Largest 10 diffraction maxima, in order of rising 2θ, 2θ = 10–80°:
5.240 Å, intensity 43; 4.995 Å, intensity 73; 4.641 Å, intensity 56; 3.616 Å, intensity 34; 3.477 Å, intensity 100; 2.811 Å, intensity 14; 2.321 Å, intensity 21; 2.059 Å, intensity 32; 1.808 Å, intensity 22; 1.738 Å, intensity 16

=====

Entry 2:
Calculated powder XRD pattern
Compound: NaMoF6
Radiation: Cu Kα, 1.54184 Å
Structure: a structure optimized by DFT (GGA+U)
Lines closer than 0.1° are merged.

Cell and atoms:
Cell lengths 6.000, 6.000, 6.000 Å; angles 60.00, 60.00, 60.00 degrees
Positions (direct):
Na 0.000 0.000 0.000
Mo 0.500 0.500 0.500
F 0.273 0.273 0.727
F 0.273 0.727 0.273
F 0.273 0.727 0.727
F 0.727 0.273 0.273
F 0.727 0.273 0.727
F 0.727 0.727 0.273

Largest 10 diffraction maxima, in order of rising 2θ, 2θ = 10–80°:
4.899 Å, intensity 57; 4.243 Å, intensity 100; 3.000 Å, intensity 22; 2.558 Å, intensity 18; 2.121 Å, intensity 29; 1.897 Å, intensity 36; 1.633 Å, intensity 11; 1.500 Å, intensity 15; 1.434 Å, intensity 9; 1.414 Å, intensity 16

=====

Entry 3:
Calculated powder XRD pattern
Compound: Na3MoF6
Radiation: Cu Kα, 1.54184 Å
Structure: a structure optimized by DFT (GGA+U)
Lines closer than 0.1° are merged.

Cell and atoms:
Cell lengths 6.009, 6.009, 6.009 Å; angles 60.00, 60.00, 60.00 degrees
Positions (direct):
Na 0.000 0.000 0.000
Na 0.250 0.250 0.250
Na 0.750 0.750 0.750
Mo 0.500 0.500 0.500
F 0.258 0.258 0.742
F 0.258 0.742 0.258
F 0.258 0.742 0.742
F 0.742 0.258 0.258
F 0.742 0.258 0.742
F 0.742 0.742 0.258

Largest 10 diffraction maxima, in order of rising 2θ, 2θ = 10–80°:
4.906 Å, intensity 83; 4.249 Å, intensity 93; 3.005 Å, intensity 100; 2.562 Å, intensity 38; 2.125 Å, intensity 86; 1.900 Å, intensity 36; 1.735 Å, intensity 39; 1.502 Å, intensity 48; 1.416 Å, intensity 16; 1.344 Å, intensity 17

=====

Entry 4:
Calculated powder XRD pattern
Compound: Na3MoO4F
Radiation: Cu Kα, 1.54184 Å
Structure: a structure optimized by DFT (GGA+U)
Lines closer than 0.1° are merged.

Cell and atoms:
Cell lengths 5.665, 7.612, 13.042 Å; angles 90.00, 90.00, 90.00 degrees
Positions (direct):
Na 0.227 0.250 0.107
Na 0.230 0.540 0.821
Na 0.230 0.960 0.821
Na 0.270 0.040 0.321
Na 0.270 0.460 0.321
Na 0.273 0.750 0.607
Na 0.727 0.250 0.393
Na 0.730 0.540 0.679
Na 0.730 0.960 0.679
Na 0.770 0.040 0.179
Na 0.770 0.460 0.179
Na 0.773 0.750 0.893
Mo 0.209 0.250 0.584
Mo 0.291 0.750 0.084
Mo 0.709 0.250 0.916
Mo 0.791 0.750 0.416
O 0.110 0.750 0.421
O 0.176 0.750 0.956
O 0.189 0.558 0.151
O 0.189 0.942 0.151
O 0.311 0.058 0.651
O 0.311 0.442 0.651
O 0.324 0.250 0.456
O 0.390 0.250 0.921
O 0.610 0.750 0.079
O 0.676 0.750 0.544
O 0.689 0.558 0.349
O 0.689 0.942 0.349
O 0.811 0.058 0.849
O 0.811 0.442 0.849
O 0.824 0.250 0.044
O 0.890 0.250 0.579
F 0.002 0.250 0.267
F 0.498 0.750 0.767
F 0.502 0.250 0.233
F 0.998 0.750 0.733

Largest 10 diffraction maxima, in order of rising 2θ, 2θ = 10–80°:
4.286 Å, intensity 100; 3.806 Å, intensity 23; 3.775 Å, intensity 42; 3.287 Å, intensity 23; 3.261 Å, intensity 11; 2.843 Å, intensity 35; 2.830 Å, intensity 41; 2.146 Å, intensity 17; 1.903 Å, intensity 11; 1.888 Å, intensity 24

=====

> Which formula does entry 3 have?

Na3MoF6